Structure and calculated XRD peak list of LiMn2Fe2P4O16 (a DFT-relaxed cell (GGA+U, Alexandria); copper Kα).

Top 10 peaks for 10° ≤ 2θ ≤ 90°, low angle first:
d [Å], 2θ/deg, I_rel, (hkl)
4.961, 17.88, 76, 0 0 2
4.465, 19.88, 51, 1 0 -1
4.426, 20.06, 62, 1 0 1
3.819, 23.29, 27, 0 1 2
3.578, 24.88, 58, 1 1 -1
3.558, 25.03, 41, 1 1 1
2.991, 29.87, 100, 0 2 0
2.512, 35.74, 62, 1 1 -3
2.490, 36.08, 70, 1 1 3
1.495, 62.08, 29, 0 4 0

```
data_LiMn2Fe2P4O16
_space_group_name_H-M_alt 'P 1'
_space_group_IT_number 1
_space_group_name_Hall 'P 1'
_cell_length_a 4.9729
_cell_length_b 5.9823
_cell_length_c 9.9230
_cell_angle_alpha 90.00
_cell_angle_beta 90.63
_cell_angle_gamma 90.00
loop_
_atom_site_label
_atom_site_type_symbol
_atom_site_fract_x
_atom_site_fract_y
_atom_site_fract_z
Li1 Li 0.0000 0.0000 0.0000
Mn1 Mn 0.4899 0.5000 0.7248
Mn2 Mn 0.9836 0.0000 0.6538
Fe1 Fe 0.1222 0.5000 0.2206
Fe2 Fe 0.5871 0.0000 0.1811
P1 P 0.1414 0.0000 0.3517
P2 P 0.4701 0.0000 0.8425
P3 P 0.6865 0.5000 0.0369
P4 P 0.9680 0.5000 0.5399
O1 O 0.2169 0.0000 0.5042
O2 O 0.2756 0.5000 0.5643
O3 O 0.2826 0.2032 0.2803
O4 O 0.2826 0.7968 0.2803
O5 O 0.3304 0.2018 0.7708
O6 O 0.3304 0.7982 0.7708
O7 O 0.3904 0.5000 0.0758
O8 O 0.4009 0.0000 0.9929
O9 O 0.7178 0.5000 0.8822
O10 O 0.7810 0.0000 0.8256
O11 O 0.8261 0.2990 0.6118
O12 O 0.8261 0.7010 0.6118
O13 O 0.8389 0.0000 0.3353
O14 O 0.8448 0.2955 0.0993
O15 O 0.8448 0.7045 0.0993
O16 O 0.9131 0.5000 0.3881
```